Record 1
Computed PXRD pattern of Rb2BaCe3Se8 for Cu Kα, from the GGA-PBE geometry in Alexandria.

The 10 most intense peaks (5 to 70 degrees two-theta), in order of rising 2θ:
2θ/deg	intensity
11.12	72
18.87	34
23.06	70
23.59	36
27.73	100
35.29	76
36.37	31
37.07	26
38.28	66
40.92	90

Crystal structure
a b c (Å): 9.4451 9.4451 9.4451
angles (deg): 55.68 55.68 55.68
Atoms (fractional coordinates):
Rb 0.0000 0.0000 0.0000
Rb 0.3675 0.3675 0.3675
Ba 0.6210 0.6210 0.6210
Ce 0.4953 0.9990 0.9990
Ce 0.9990 0.4953 0.9990
Ce 0.9990 0.9990 0.4953
Se 0.1957 0.7450 0.7450
Se 0.2269 0.2269 0.2269
Se 0.2549 0.2549 0.8046
Se 0.2549 0.8046 0.2549
Se 0.7450 0.1957 0.7450
Se 0.7450 0.7450 0.1957
Se 0.7646 0.7646 0.7646
Se 0.8046 0.2549 0.2549

---

Record 2
Computed PXRD pattern of Ba5CeSb4 for Cu Kα, from the GGA-PBE geometry in Alexandria.

The 10 most intense peaks (5 to 70 degrees two-theta), in order of rising 2θ:
2θ/deg	intensity
9.52	22
25.81	51
25.96	100
36.49	21
36.70	40
37.16	38
37.60	18
45.23	22
53.40	13
66.11	13

Crystal structure
a b c (Å): 10.9504 10.9504 9.5701
angles (deg): 103.54 103.54 25.99
Atoms (fractional coordinates):
Ba 0.0000 0.0000 0.0000
Ba 0.3310 0.3310 0.6473
Ba 0.3403 0.3403 0.1682
Ba 0.6597 0.6597 0.8318
Ba 0.6690 0.6690 0.3527
Ce 0.0000 0.0000 0.5000
Sb 0.1597 0.1597 0.5938
Sb 0.4972 0.4972 0.7302
Sb 0.5028 0.5028 0.2698
Sb 0.8403 0.8403 0.4062

---

Record 3
Computed PXRD pattern of Ba2CeSe3 for Cu Kα, from the GGA-PBE geometry in Alexandria.

The 10 most intense peaks (5 to 70 degrees two-theta), in order of rising 2θ:
2θ/deg	intensity
23.80	7
24.11	6
27.73	100
39.26	12
39.61	50
40.03	13
48.72	13
49.37	14
57.32	8
64.78	22

Crystal structure
a b c (Å): 7.9275 7.9275 7.9275
angles (deg): 146.99 132.05 59.45
Atoms (fractional coordinates):
Ba 0.1697 0.1697 0.0000
Ba 0.8303 0.8303 0.0000
Ce 0.5000 0.5000 0.0000
Se 0.0000 0.5000 0.5000
Se 0.3508 0.8508 0.5000
Se 0.6492 0.1492 0.5000

---

Record 4
Computed PXRD pattern of BaCe4Se6 for Cu Kα, from the GGA-PBE geometry in Alexandria.

The 10 most intense peaks (5 to 70 degrees two-theta), in order of rising 2θ:
2θ/deg	intensity
24.14	41
27.77	39
28.64	51
29.53	100
30.97	58
31.57	29
39.86	37
42.08	38
42.25	68
44.00	27

Crystal structure
a b c (Å): 7.3000 7.3000 21.7109
angles (deg): 90.00 90.00 145.92
Atoms (fractional coordinates):
Ba 0.1619 0.8381 0.7500
Ba 0.8381 0.1619 0.2500
Ce 0.0943 0.9057 0.1257
Ce 0.0943 0.9057 0.3743
Ce 0.3624 0.6376 0.0397
Ce 0.3624 0.6376 0.4603
Ce 0.6376 0.3624 0.5397
Ce 0.6376 0.3624 0.9603
Ce 0.9057 0.0943 0.6257
Ce 0.9057 0.0943 0.8743
Se 0.0000 0.0000 0.0000
Se 0.0000 0.0000 0.5000
Se 0.1651 0.8349 0.2500
Se 0.2684 0.7316 0.5871
Se 0.2684 0.7316 0.9129
Se 0.4585 0.5415 0.1597
Se 0.4585 0.5415 0.3403
Se 0.5415 0.4585 0.6597
Se 0.5415 0.4585 0.8403
Se 0.7316 0.2684 0.0871
Se 0.7316 0.2684 0.4129
Se 0.8349 0.1651 0.7500

---

Record 5
Computed PXRD pattern of BaCeSe4 for Cu Kα, from the GGA-PBE geometry in Alexandria.

The 10 most intense peaks (5 to 70 degrees two-theta), in order of rising 2θ:
2θ/deg	intensity
12.25	46
16.65	68
21.99	47
25.87	31
26.42	33
29.29	51
33.18	100
35.21	51
39.17	35
46.33	32

Crystal structure
a b c (Å): 8.1255 8.1255 7.8523
angles (deg): 90.20 90.20 54.48
Atoms (fractional coordinates):
Ba 0.1709 0.1709 0.3433
Ba 0.8291 0.8291 0.6567
Ce 0.4645 0.4645 0.7576
Ce 0.5355 0.5355 0.2424
Se 0.1588 0.6783 0.0236
Se 0.2436 0.7564 0.5000
Se 0.2769 0.2769 0.7007
Se 0.3217 0.8412 0.9764
Se 0.6783 0.1588 0.0236
Se 0.7231 0.7231 0.2993
Se 0.7564 0.2436 0.5000
Se 0.8412 0.3217 0.9764

---

Record 6
Computed PXRD pattern of Ba2Ce3Se8 for Cu Kα, from the GGA-PBE geometry in Alexandria.

The 10 most intense peaks (5 to 70 degrees two-theta), in order of rising 2θ:
2θ/deg	intensity
12.18	38
18.88	50
21.13	37
25.02	49
25.65	28
31.31	100
32.07	49
37.70	59
41.40	34
42.22	65

Crystal structure
a b c (Å): 8.8598 8.8598 7.3719
angles (deg): 106.96 106.96 58.98
Atoms (fractional coordinates):
Ba 0.2272 0.2272 0.1613
Ba 0.7728 0.7728 0.8387
Ce 0.2427 0.7573 0.5000
Ce 0.5000 0.5000 0.0000
Ce 0.7573 0.2427 0.5000
Se 0.1138 0.1138 0.4664
Se 0.1676 0.6138 0.1039
Se 0.3862 0.8324 0.8961
Se 0.3969 0.3969 0.5925
Se 0.6031 0.6031 0.4075
Se 0.6138 0.1676 0.1039
Se 0.8324 0.3862 0.8961
Se 0.8862 0.8862 0.5336